Record 1
Diffraction record for MgCo2Ge4O12. The PXRD pattern is calculated, not measured: it uses a DFT-relaxed cell (PBE+U, the Materials Project) and CuKα.
Lines closer than 0.1° are merged.

Peak list (12 most intense, 15° ≤ 2θ ≤ 90°, sorted by position)
2θ/deg	d (Å)	I (rel.)	(hkl)
18.4	4.829	25	0 1 1
20.3	4.383	32	0 1 -1
26.8	3.327	39	1 -1 1
28.3	3.152	100	1 0 2
28.9	3.085	95	1 2 0
29.3	3.044	46	0 1 2
29.8	3.000	40	0 2 1
35.1	2.555	77	2 0 0
36.1	2.487	24	1 0 -2
36.6	2.457	24	1 -2 0
53.4	1.717	28	1 1 4
54.7	1.677	28	1 4 1

Structural model:
abc: 5.5113 6.7273 6.8913
angles: 80.15 73.14 73.50
Sites, in units of the cell vectors:
Mg  0.0000  0.0000  0.0000
Co  0.4954  0.8165  0.1822
Co  0.9836  0.6241  0.3739
Ge  0.0115  0.5358  0.8823
Ge  0.4960  0.3518  0.0800
Ge  0.5032  0.9126  0.6566
Ge  0.9840  0.1077  0.4734
O  0.0256  0.3502  0.3437
O  0.0920  0.9281  0.2851
O  0.1553  0.0412  0.6666
O  0.3398  0.4071  0.8788
O  0.3988  0.5485  0.2475
O  0.4025  0.8484  0.9200
O  0.5723  0.0819  0.1548
O  0.6066  0.7538  0.4524
O  0.6532  0.1243  0.5972
O  0.8452  0.3296  0.9599
O  0.8936  0.7153  0.0725
O  0.9568  0.6711  0.6543

=====

Record 2
Diffraction record for MgCoGe2O6. The PXRD pattern is calculated, not measured: it uses a DFT-relaxed cell (PBE+U, the Materials Project) and CuKα.
Lines closer than 0.1° are merged.

Peak list (12 most intense, 15° ≤ 2θ ≤ 90°, sorted by position)
2θ/deg	d (Å)	I (rel.)	(hkl)
19.6	4.530	17	0 2 0
26.1	3.408	34	1 2 -1
28.8	3.096	100	1 2 1
29.6	3.016	90	3 1 0
34.2	2.624	24	0 3 1
34.7	2.587	44	2 0 -2
35.3	2.542	44	3 2 -1
45.4	1.998	14	1 4 1
54.7	1.677	27	4 3 1
58.5	1.577	14	3 5 0
61.4	1.510	15	0 6 0
64.7	1.441	25	6 3 -1

Structural model:
abc: 9.8615 9.0601 5.4467
angles: 90.00 103.41 90.00
Sites, in units of the cell vectors:
Mg  0.2450  0.0087  0.4409
Mg  0.2450  0.4913  0.9409
Mg  0.7550  0.5087  0.0591
Mg  0.7550  0.9913  0.5591
Co  0.2444  0.6539  0.4493
Co  0.2444  0.8461  0.9493
Co  0.7556  0.1539  0.0507
Co  0.7556  0.3461  0.5507
Ge  0.0558  0.1611  0.8254
Ge  0.0558  0.3389  0.3254
Ge  0.4590  0.1560  0.2375
Ge  0.4590  0.3440  0.7375
Ge  0.5410  0.6560  0.2625
Ge  0.5410  0.8440  0.7625
Ge  0.9442  0.6611  0.6746
Ge  0.9442  0.8389  0.1746
O  0.1111  0.1782  0.1687
O  0.1111  0.3218  0.6687
O  0.1290  0.6612  0.7398
O  0.1290  0.8388  0.2398
O  0.1406  0.0138  0.7227
O  0.1406  0.4862  0.2227
O  0.3576  0.6580  0.1718
O  0.3576  0.8420  0.6718
O  0.3735  0.5129  0.6917
O  0.3735  0.9871  0.1917
O  0.3865  0.2113  0.5008
O  0.3865  0.2887  0.0008
O  0.6135  0.7113  0.9992
O  0.6135  0.7887  0.4992
O  0.6265  0.0129  0.8083
O  0.6265  0.4871  0.3083
O  0.6424  0.1580  0.3282
O  0.6424  0.3419  0.8282
O  0.8594  0.5138  0.7773
O  0.8594  0.9862  0.2773
O  0.8710  0.1612  0.7602
O  0.8710  0.3388  0.2602
O  0.8889  0.6782  0.3313
O  0.8889  0.8218  0.8313